[1]
This entry pairs a crystal structure of Tl5Te2Se6 with its computed X-ray diffraction stick pattern. Radiation: copper Kα. Structure: DFT lattice parameters and positions (PBE).
Peak positions follow from Bragg's law for the DFT cell and can differ from measured ones.

Structure:
Unit cell a=13.391 b=15.221 c=4.147 alpha=90.00 beta=90.00 gamma=90.00
Atoms (fractional coordinates):
Tl  0.000  0.000  0.000
Tl  0.078  0.256  0.000
Tl  0.194  0.484  0.000
Tl  0.306  0.984  0.000
Tl  0.422  0.756  0.000
Tl  0.500  0.500  0.000
Tl  0.578  0.244  0.000
Tl  0.694  0.016  0.000
Tl  0.806  0.516  0.000
Tl  0.922  0.744  0.000
Te  0.190  0.711  0.500
Te  0.310  0.211  0.500
Te  0.690  0.789  0.500
Te  0.810  0.289  0.500
Se  0.039  0.613  0.500
Se  0.115  0.846  0.000
Se  0.169  0.085  0.500
Se  0.331  0.585  0.500
Se  0.385  0.346  0.000
Se  0.461  0.113  0.500
Se  0.539  0.887  0.500
Se  0.615  0.654  0.000
Se  0.669  0.415  0.500
Se  0.831  0.915  0.500
Se  0.885  0.154  0.000
Se  0.961  0.387  0.500

Largest 10 diffraction maxima, by angle, 15° ≤ 2θ ≤ 90°:
2theta	I/Imax
25.3	86
27.9	59
30.0	100
30.9	62
31.9	84
32.0	83
34.4	79
35.7	66
43.7	60
47.8	66

[2]
This entry pairs a crystal structure of UTlTeSe with its computed X-ray diffraction stick pattern. Radiation: copper Kα. Structure: DFT lattice parameters and positions (PBE).
Peak positions follow from Bragg's law for the DFT cell and can differ from measured ones.

Structure:
Unit cell a=9.011 b=9.011 c=9.011 alpha=26.11 beta=26.11 gamma=26.11
Atoms (fractional coordinates):
U  0.000  0.000  0.000
Tl  0.173  0.173  0.173
Te  0.745  0.745  0.745
Se  0.602  0.602  0.602

Largest 10 diffraction maxima, by angle, 15° ≤ 2θ ≤ 90°:
2theta	I/Imax
20.4	19
25.5	40
26.2	37
28.8	33
30.6	100
35.0	72
44.5	58
46.1	19
55.0	20
62.5	33

[3]
This entry pairs a crystal structure of U3Tl4Te8Se with its computed X-ray diffraction stick pattern. Radiation: copper Kα. Structure: DFT lattice parameters and positions (PBE).
Peak positions follow from Bragg's law for the DFT cell and can differ from measured ones.

Structure:
Unit cell a=9.043 b=9.043 c=9.557 alpha=116.48 beta=116.48 gamma=58.31
Atoms (fractional coordinates):
U  0.000  0.000  0.000
U  0.000  0.500  0.000
U  0.500  0.000  0.000
Tl  0.000  0.000  0.500
Tl  0.000  0.500  0.500
Tl  0.500  0.000  0.500
Tl  0.500  0.500  0.500
Te  0.234  0.234  0.215
Te  0.235  0.235  0.768
Te  0.246  0.719  0.197
Te  0.281  0.754  0.803
Te  0.719  0.246  0.197
Te  0.754  0.281  0.803
Te  0.765  0.765  0.232
Te  0.766  0.766  0.785
Se  0.500  0.500  0.000

Largest 10 diffraction maxima, by angle, 15° ≤ 2θ ≤ 90°:
2theta	I/Imax
26.3	57
27.6	100
37.0	41
37.9	18
39.9	38
41.0	19
44.1	14
49.3	20
57.0	14
65.8	12

[4]
This entry pairs a crystal structure of Tm4Te3Se2 with its computed X-ray diffraction stick pattern. Radiation: copper Kα. Structure: DFT lattice parameters and positions (PBE).
Peak positions follow from Bragg's law for the DFT cell and can differ from measured ones.

Structure:
Unit cell a=7.330 b=7.330 c=9.080 alpha=99.23 beta=99.23 gamma=31.60
Atoms (fractional coordinates):
Tm  0.070  0.070  0.175
Tm  0.339  0.339  0.392
Tm  0.661  0.661  0.608
Tm  0.930  0.930  0.825
Te  0.000  0.000  0.500
Te  0.398  0.398  0.089
Te  0.602  0.602  0.911
Se  0.298  0.298  0.689
Se  0.702  0.702  0.311

Largest 10 diffraction maxima, by angle, 15° ≤ 2θ ≤ 90°:
2theta	I/Imax
25.7	25
29.5	97
30.6	96
32.2	96
33.9	25
39.1	74
41.9	100
45.4	44
55.8	35
66.1	24

[5]
This entry pairs a crystal structure of Tm4TeSe3 with its computed X-ray diffraction stick pattern. Radiation: copper Kα. Structure: DFT lattice parameters and positions (PBE).
Peak positions follow from Bragg's law for the DFT cell and can differ from measured ones.

Structure:
Unit cell a=5.759 b=9.653 c=8.291 alpha=90.00 beta=90.00 gamma=90.00
Atoms (fractional coordinates):
Tm  0.250  0.061  0.148
Tm  0.250  0.250  0.762
Tm  0.250  0.439  0.148
Tm  0.250  0.750  0.619
Tm  0.750  0.250  0.381
Tm  0.750  0.561  0.852
Tm  0.750  0.750  0.238
Tm  0.750  0.939  0.852
Te  0.250  0.750  0.254
Te  0.750  0.250  0.746
Se  0.250  0.250  0.412
Se  0.250  0.537  0.830
Se  0.250  0.963  0.830
Se  0.750  0.037  0.170
Se  0.750  0.463  0.170
Se  0.750  0.750  0.588

Largest 10 diffraction maxima, by angle, 15° ≤ 2θ ≤ 90°:
2theta	I/Imax
21.3	75
21.4	42
29.8	46
31.1	100
33.7	45
35.3	54
37.3	36
38.0	53
46.5	36
47.7	53

[6]
This entry pairs a crystal structure of Tm3TeSe2 with its computed X-ray diffraction stick pattern. Radiation: copper Kα. Structure: DFT lattice parameters and positions (PBE).
Peak positions follow from Bragg's law for the DFT cell and can differ from measured ones.

Structure:
Unit cell a=7.118 b=7.118 c=7.118 alpha=146.26 beta=131.74 gamma=60.18
Atoms (fractional coordinates):
Tm  0.000  0.000  0.000
Tm  0.316  0.316  0.000
Tm  0.684  0.684  0.000
Te  0.500  0.000  0.500
Se  0.161  0.661  0.500
Se  0.839  0.339  0.500

Largest 10 diffraction maxima, by angle, 15° ≤ 2θ ≤ 90°:
2theta	I/Imax
30.7	100
43.8	13
44.0	49
44.1	10
54.5	15
54.7	11
64.0	11
72.6	10
72.6	11
81.0	9

[7]
This entry pairs a crystal structure of Tm3Te3Se with its computed X-ray diffraction stick pattern. Radiation: copper Kα. Structure: DFT lattice parameters and positions (PBE).
Peak positions follow from Bragg's law for the DFT cell and can differ from measured ones.

Structure:
Unit cell a=9.725 b=9.725 c=6.064 alpha=90.00 beta=90.00 gamma=119.96
Atoms (fractional coordinates):
Tm  0.171  0.829  0.750
Tm  0.172  0.344  0.750
Tm  0.344  0.172  0.250
Tm  0.656  0.828  0.750
Tm  0.828  0.656  0.250
Tm  0.829  0.171  0.250
Te  0.180  0.820  0.250
Te  0.181  0.362  0.250
Te  0.362  0.181  0.750
Te  0.638  0.819  0.250
Te  0.819  0.638  0.750
Te  0.820  0.180  0.750
Se  0.333  0.667  0.750
Se  0.667  0.333  0.250

Largest 10 diffraction maxima, by angle, 15° ≤ 2θ ≤ 90°:
2theta	I/Imax
18.2	25
21.1	100
28.0	20
29.5	60
36.5	49
37.0	90
48.0	86
52.9	15
73.6	24
74.5	20

[8]
This entry pairs a crystal structure of YTmTeSe with its computed X-ray diffraction stick pattern. Radiation: copper Kα. Structure: DFT lattice parameters and positions (PBE).
Peak positions follow from Bragg's law for the DFT cell and can differ from measured ones.

Structure:
Unit cell a=7.594 b=7.594 c=7.594 alpha=31.20 beta=31.20 gamma=31.20
Atoms (fractional coordinates):
Y  0.000  0.000  0.000
Tm  0.813  0.813  0.813
Te  0.237  0.237  0.237
Se  0.410  0.410  0.410

Largest 10 diffraction maxima, by angle, 15° ≤ 2θ ≤ 90°:
2theta	I/Imax
26.5	41
30.2	20
32.7	100
38.7	36
44.4	51
49.3	18
56.2	21
69.5	18
74.2	18
81.7	12

[9]
This entry pairs a crystal structure of U4Te3Se3 with its computed X-ray diffraction stick pattern. Radiation: copper Kα. Structure: DFT lattice parameters and positions (PBE).
Peak positions follow from Bragg's law for the DFT cell and can differ from measured ones.

Structure:
Unit cell a=4.046 b=11.337 c=11.813 alpha=90.00 beta=90.00 gamma=90.00
Atoms (fractional coordinates):
U  0.000  0.064  0.000
U  0.000  0.235  0.311
U  0.000  0.765  0.811
U  0.000  0.936  0.500
U  0.500  0.256  0.679
U  0.500  0.435  0.026
U  0.500  0.565  0.526
U  0.500  0.744  0.179
Te  0.000  0.045  0.736
Te  0.000  0.307  0.876
Te  0.000  0.693  0.376
Te  0.000  0.955  0.236
Te  0.500  0.451  0.282
Te  0.500  0.549  0.782
Se  0.000  0.378  0.545
Se  0.000  0.622  0.045
Se  0.500  0.119  0.458
Se  0.500  0.194  0.128
Se  0.500  0.806  0.628
Se  0.500  0.881  0.958

Largest 10 diffraction maxima, by angle, 15° ≤ 2θ ≤ 90°:
2theta	I/Imax
21.7	71
23.3	84
31.1	84
32.5	79
33.3	100
35.5	95
38.6	72
39.6	69
41.1	66
44.8	72

[10]
This entry pairs a crystal structure of V2Te3Se with its computed X-ray diffraction stick pattern. Radiation: copper Kα. Structure: DFT lattice parameters and positions (PBE).
Peak positions follow from Bragg's law for the DFT cell and can differ from measured ones.

Structure:
Unit cell a=7.520 b=7.520 c=13.033 alpha=115.78 beta=115.78 gamma=27.19
Atoms (fractional coordinates):
V  0.246  0.246  0.352
V  0.247  0.247  0.849
V  0.753  0.753  0.151
V  0.754  0.754  0.648
Te  0.136  0.136  0.481
Te  0.139  0.139  0.979
Te  0.395  0.395  0.784
Te  0.605  0.605  0.216
Te  0.861  0.861  0.021
Te  0.864  0.864  0.519
Se  0.372  0.372  0.275
Se  0.628  0.628  0.725

Largest 10 diffraction maxima, by angle, 15° ≤ 2θ ≤ 90°:
2theta	I/Imax
27.3	31
30.6	45
31.9	100
39.0	20
40.0	26
49.2	23
51.2	21
51.7	12
57.2	14
61.3	12

[11]
This entry pairs a crystal structure of VTeSe3 with its computed X-ray diffraction stick pattern. Radiation: copper Kα. Structure: DFT lattice parameters and positions (PBE).
Peak positions follow from Bragg's law for the DFT cell and can differ from measured ones.

Structure:
Unit cell a=7.408 b=7.408 c=6.000 alpha=90.24 beta=90.24 gamma=64.48
Atoms (fractional coordinates):
V  0.000  0.000  0.000
V  0.055  0.055  0.501
Te  0.505  0.505  0.772
Te  0.550  0.550  0.272
Se  0.139  0.735  0.290
Se  0.191  0.191  0.262
Se  0.320  0.916  0.792
Se  0.735  0.139  0.290
Se  0.864  0.864  0.759
Se  0.916  0.320  0.792

Largest 10 diffraction maxima, by angle, 15° ≤ 2θ ≤ 90°:
2theta	I/Imax
22.5	16
24.1	43
29.8	51
30.6	100
36.6	20
38.6	30
38.8	30
45.9	18
46.4	32
49.4	25

[12]
This entry pairs a crystal structure of Te4W3Se2 with its computed X-ray diffraction stick pattern. Radiation: copper Kα. Structure: DFT lattice parameters and positions (PBE).
Peak positions follow from Bragg's law for the DFT cell and can differ from measured ones.

Structure:
Unit cell a=3.473 b=3.473 c=22.951 alpha=90.00 beta=90.00 gamma=120.00
Atoms (fractional coordinates):
Te  0.000  0.000  0.102
Te  0.000  0.000  0.263
Te  0.000  0.000  0.737
Te  0.000  0.000  0.898
W  0.000  0.000  0.500
W  0.667  0.333  0.183
W  0.667  0.333  0.817
Se  0.667  0.333  0.429
Se  0.667  0.333  0.571

Largest 10 diffraction maxima, by angle, 15° ≤ 2θ ≤ 90°:
2theta	I/Imax
29.7	46
32.0	22
35.7	100
38.1	14
43.6	61
52.7	36
54.2	16
65.3	17
70.7	15
88.6	16

[13]
This entry pairs a crystal structure of Te2W3Se4 with its computed X-ray diffraction stick pattern. Radiation: copper Kα. Structure: DFT lattice parameters and positions (PBE).
Peak positions follow from Bragg's law for the DFT cell and can differ from measured ones.

Structure:
Unit cell a=3.395 b=3.395 c=22.292 alpha=90.00 beta=90.00 gamma=120.00
Atoms (fractional coordinates):
Te  0.000  0.000  0.085
Te  0.000  0.000  0.915
W  0.000  0.000  0.329
W  0.000  0.000  0.671
W  0.333  0.667  0.000
Se  0.333  0.667  0.254
Se  0.333  0.667  0.403
Se  0.333  0.667  0.597
Se  0.333  0.667  0.746

Largest 10 diffraction maxima, by angle, 15° ≤ 2θ ≤ 90°:
2theta	I/Imax
30.4	59
32.8	30
34.5	49
36.6	100
41.8	43
44.8	51
54.0	46
55.5	24
67.0	17
75.9	27